Starting from the GGA-PBE geometry in Alexandria, the powder diffraction line list of Ac2SnRh2 was calculated for Cu Kα (λ = 1.5418 Å).

Structural model:
```
Ac2SnRh2
1.0
5.274 -2.985 0.000
5.274 2.985 0.000
-2.141 0.000 8.110
Ac Sn Rh
4 2 4
Direct
0.003 0.703 0.851 Ac
0.297 0.997 0.649 Ac
0.703 0.003 0.351 Ac
0.997 0.297 0.149 Ac
0.358 0.642 0.250 Sn
0.642 0.358 0.750 Sn
0.230 0.499 0.498 Rh
0.499 0.230 0.998 Rh
0.501 0.770 0.002 Rh
0.770 0.501 0.502 Rh
```

Largest 10 diffraction maxima, in order of falling intensity, 2θ from 10° to 90°:
- 35.5 deg, intensity 100.0
- 29.8 deg, intensity 98.1
- 35.2 deg, intensity 94.9
- 31.9 deg, intensity 91.6
- 31.5 deg, intensity 61.3
- 38.0 deg, intensity 60.8
- 34.5 deg, intensity 49.9
- 33.3 deg, intensity 48.4
- 61.2 deg, intensity 40.6
- 24.3 deg, intensity 37.2